BaEuW4O12: simulated powder X-ray diffraction pattern (a wavelength of 1.5418 Å), based on a DFT-relaxed cell (GGA+U, the Materials Project).
Intensities are scaled so that the largest is 100.

Largest 12 diffraction maxima, low angle first, 2θ from 10° to 80°:
2theta, I (rel.), index
18.9, 31, 1 0 1
21.7, 18, 0 0 2
21.9, 35, 1 1 0
31.0, 100, 1 1 2
31.2, 49, 2 0 0
36.7, 12, 2 1 1
44.2, 15, 0 0 4
44.7, 30, 2 2 0
55.1, 21, 2 0 4
55.4, 41, 3 1 2
64.7, 19, 2 2 4
73.9, 18, 4 2 0

Crystal structure
a b c (Å): 5.735 5.735 8.192
angles (deg): 90.00 90.00 90.00
Space group P4/mmm (No. 123)
Symmetry-distinct sites (fractional):
Ba1 0.000 0.000 0.000
Eu1 0.500 0.500 0.500
W1 0.000 0.500 0.251
O1 0.000 0.500 0.000
O2 0.000 0.500 0.500
O3 0.257 0.257 0.256

---

LiMnP3H10O14: simulated powder X-ray diffraction pattern (a wavelength of 1.5418 Å), based on a DFT-relaxed cell (GGA+U, the Materials Project).
Intensities are scaled so that the largest is 100.

Largest 12 diffraction maxima, low angle first, 2θ from 10° to 80°:
2theta, I (rel.), index
10.6, 100, 0 1 1
12.9, 15, 1 0 0
17.7, 28, 0 2 1
17.9, 21, 0 1 -1
20.2, 28, 0 2 0
21.3, 22, 0 0 2
25.6, 17, 2 1 1
26.1, 33, -1 1 2
27.5, 47, 2 0 2
31.5, 16, 2 1 3
31.9, 17, 1 -3 0
39.0, 23, -1 4 1

Crystal structure
a b c (Å): 7.306 10.044 10.077
angles (deg): 61.58 70.66 86.28
Space group P-1 (No. 2)
Symmetry-distinct sites (fractional):
Li1 0.128 0.320 0.320
Mn1 0.442 0.288 0.806
P1 0.009 0.138 0.156
P2 0.088 0.200 0.693
P3 0.168 0.677 0.098
H1 0.187 0.641 0.442
H2 0.197 0.517 0.782
H3 0.200 0.039 0.382
H4 0.241 0.918 0.531
H5 0.293 0.489 0.504
H6 0.373 0.986 0.118
H7 0.406 0.583 0.772
H8 0.421 0.939 0.274
H9 0.427 0.192 0.313
H10 0.481 0.305 0.129
O1 0.004 0.161 0.295
O2 0.017 0.245 0.555
O3 0.052 0.523 0.209
O4 0.089 0.800 0.158
O5 0.120 0.022 0.773
O6 0.129 0.747 0.929
O7 0.204 0.146 0.038
O8 0.271 0.287 0.661
O9 0.304 0.592 0.414
O10 0.310 0.994 0.418
O11 0.332 0.498 0.779
O12 0.387 0.690 0.055
O13 0.424 0.300 0.236
O14 0.460 0.927 0.176

---

Li4CrFe3O8: simulated powder X-ray diffraction pattern (a wavelength of 1.5418 Å), based on a DFT-relaxed cell (GGA+U, the Materials Project).
Intensities are scaled so that the largest is 100.

Largest 12 diffraction maxima, low angle first, 2θ from 10° to 80°:
2theta, I (rel.), index
18.1, 100, 1 0 0
35.3, 43, 0 0 4
36.9, 13, 0 2 1
42.8, 81, 1 0 4
46.8, 14, 1 2 1
56.4, 7, -3 2 1
56.5, 9, 2 2 -3
62.0, 15, 3 0 -4
62.0, 7, 2 2 1
62.2, 22, 1 -4 2
65.4, 14, 2 -4 2
78.5, 10, 0 4 2

Crystal structure
a b c (Å): 5.196 5.969 10.756
angles (deg): 106.06 94.59 106.81
Space group P-1 (No. 2)
Symmetry-distinct sites (fractional):
Li1 0.000 0.000 0.000
Li2 0.000 0.125 0.750
Li3 0.000 0.500 0.000
Li4 0.001 0.250 0.500
Li5 0.003 0.626 0.750
Cr1 0.499 0.937 0.124
Fe1 0.499 0.438 0.124
Fe2 0.499 0.812 0.374
Fe3 0.500 0.312 0.374
O1 0.270 0.663 0.187
O2 0.271 0.038 0.440
O3 0.271 0.412 0.690
O4 0.271 0.537 0.438
O5 0.273 0.161 0.188
O6 0.273 0.789 0.940
O7 0.274 0.286 0.939
O8 0.274 0.914 0.691

---

Na3CoBPO7: simulated powder X-ray diffraction pattern (a wavelength of 1.5418 Å), based on a DFT-relaxed cell (GGA+U, the Materials Project).
Intensities are scaled so that the largest is 100.

Largest 12 diffraction maxima, low angle first, 2θ from 10° to 80°:
2theta, I (rel.), index
10.1, 100, 0 0 1
16.4, 38, 0 1 1
19.7, 27, 1 0 -1
20.3, 40, 1 0 1
25.9, 89, 0 2 0
26.2, 24, 1 0 -2
30.2, 23, 1 1 2
32.7, 52, 1 2 -1
33.1, 78, 1 2 1
34.8, 55, 2 0 0
42.1, 23, 2 1 -2
53.2, 30, 0 4 0

Crystal structure
a b c (Å): 5.155 6.884 8.785
angles (deg): 90.00 92.06 90.00
Space group P2_1/m (No. 11)
Symmetry-distinct sites (fractional):
Na1 0.230 0.250 0.081
Na2 0.255 0.510 0.732
Co1 0.219 0.750 0.338
B1 0.274 0.750 0.070
P1 0.278 0.250 0.419
O1 0.037 0.750 0.143
O2 0.122 0.250 0.567
O3 0.217 0.069 0.319
O4 0.304 0.750 0.919
O5 0.424 0.750 0.533
O6 0.474 0.750 0.183

---

FeOF: simulated powder X-ray diffraction pattern (a wavelength of 1.5418 Å), based on a DFT-relaxed cell (GGA+U, the Materials Project).
Intensities are scaled so that the largest is 100.

Largest 12 diffraction maxima, low angle first, 2θ from 10° to 80°:
2theta, I (rel.), index
26.2, 92, 2 0 -3
26.4, 91, 2 0 3
34.2, 100, 2 1 0
39.1, 16, 2 1 -3
39.2, 17, 2 1 3
51.4, 28, 4 1 -3
51.6, 53, 4 1 3
51.9, 26, 2 1 6
59.1, 18, 0 2 0
65.3, 20, 6 1 0
65.7, 23, 2 2 3
65.8, 16, 0 1 9

Crystal structure
a b c (Å): 9.643 3.128 14.334
angles (deg): 90.00 90.43 90.00
Space group Pm (No. 6)
Symmetry-distinct sites (fractional):
Fe1 0.000 0.000 0.000
Fe2 0.001 0.000 0.335
Fe3 0.217 0.500 0.507
Fe4 0.238 0.500 0.851
Fe5 0.239 0.500 0.189
Fe6 0.487 0.000 0.995
Fe7 0.492 0.000 0.327
Fe8 0.511 0.000 0.672
Fe9 0.742 0.500 0.519
Fe10 0.748 0.500 0.190
Fe11 0.753 0.500 0.818
Fe12 0.987 0.000 0.664
O1 0.088 0.500 0.402
O2 0.144 0.000 0.569
O3 0.147 0.000 0.236
O4 0.148 0.000 0.902
O5 0.400 0.500 0.275
O6 0.403 0.500 0.939
O7 0.586 0.500 0.737
O8 0.645 0.000 0.568
O9 0.652 0.000 0.238
O10 0.850 0.000 0.771
O11 0.898 0.500 0.605
O12 0.901 0.500 0.276
F1 0.096 0.500 0.074
F2 0.098 0.500 0.736
F3 0.337 0.000 0.770
F4 0.343 0.000 0.442
F5 0.344 0.000 0.106
F6 0.393 0.500 0.606
F7 0.593 0.500 0.403
F8 0.595 0.500 0.068
F9 0.654 0.000 0.905
F10 0.837 0.000 0.440
F11 0.845 0.000 0.106
F12 0.886 0.500 0.940

---

KNiSbO4: simulated powder X-ray diffraction pattern (a wavelength of 1.5418 Å), based on a DFT-relaxed cell (GGA+U, the Materials Project).
Intensities are scaled so that the largest is 100.

Largest 12 diffraction maxima, low angle first, 2θ from 10° to 80°:
2theta, I (rel.), index
14.1, 100, 2 0 0
21.0, 11, 2 0 -1
28.4, 21, 4 0 0
33.6, 18, 1 1 -1
34.1, 10, 0 0 2
34.3, 23, 1 1 1
35.8, 11, 2 0 -2
40.6, 31, 3 1 1
42.8, 13, 4 0 -2
48.3, 11, 5 1 -1
50.7, 11, 5 1 1
60.3, 10, 1 1 -3

Crystal structure
a b c (Å): 12.628 3.149 5.281
angles (deg): 90.00 95.21 90.00
Space group Cm (No. 8)
Symmetry-distinct sites (fractional):
K1 0.000 0.000 0.000
Ni1 0.251 0.000 0.084
Sb1 0.247 0.500 0.579
O1 0.162 0.000 0.405
O2 0.167 0.500 0.883
O3 0.329 0.500 0.282
O4 0.334 0.000 0.758